Entry 1:
This entry pairs a crystal structure of KSmOsO6 with its calculated X-ray powder pattern. Radiation: Cu Kα (weighted mean of Kα1 and Kα2). Structure: the PBE geometry in Alexandria.
Peak positions follow from Bragg's law for the DFT cell and can differ from measured ones.

Crystal structure
abc: 5.721 5.721 5.731
angles: 90.00 90.00 120.00
Fractional coordinates of all 9 atoms:
1 K 0.000 0.000 0.000
2 Sm 0.333 0.667 0.500
3 Os 0.667 0.333 0.500
4 O 0.408 0.056 0.689
5 O 0.408 0.352 0.311
6 O 0.648 0.056 0.311
7 O 0.648 0.592 0.689
8 O 0.944 0.352 0.689
9 O 0.944 0.592 0.311

Largest 8 diffraction maxima, in order of rising 2θ, 10 to 80 degrees two-theta:
Position (°2θ)	Rel. int.
15.46	100.0
17.90	44.8
23.74	96.5
31.26	70.9
35.06	60.7
44.77	60.4
51.30	31.3
58.09	35.9


Entry 2:
This entry pairs a crystal structure of K3Sm3OsO8 with its calculated X-ray powder pattern. Radiation: Cu Kα (weighted mean of Kα1 and Kα2). Structure: the PBE geometry in Alexandria.
Peak positions follow from Bragg's law for the DFT cell and can differ from measured ones.

Crystal structure
abc: 7.453 7.453 7.453
angles: 55.50 55.50 55.50
Fractional coordinates of all 15 atoms:
1 K 0.000 0.500 0.500
2 K 0.500 0.000 0.500
3 K 0.500 0.500 0.000
4 Sm 0.000 0.000 0.500
5 Sm 0.000 0.500 0.000
6 Sm 0.500 0.000 0.000
7 Os 0.500 0.500 0.500
8 O 0.230 0.230 0.230
9 O 0.258 0.708 0.708
10 O 0.292 0.292 0.742
11 O 0.292 0.742 0.292
12 O 0.708 0.258 0.708
13 O 0.708 0.708 0.258
14 O 0.742 0.292 0.292
15 O 0.770 0.770 0.770

Largest 8 diffraction maxima, in order of rising 2θ, 10 to 80 degrees two-theta:
Position (°2θ)	Rel. int.
14.09	100.0
28.41	26.8
30.11	36.7
31.24	55.3
35.43	74.0
49.13	24.6
52.76	23.6
61.00	19.5